No. 1
The following is a calculated X-ray diffraction stick pattern of Ca2CuH6C6O12. It was derived from DFT lattice parameters and positions (PBE), using CuKα.

Structural model:
Cell lengths 22.563, 8.925, 6.567 Å; angles 90.00, 100.54, 90.00 degrees
Space group C2/c (No. 15)
Inequivalent atoms, fractional coordinates:
Ca  0.159  0.131  0.437 (multiplicity 8)
Cu  0.000  0.405  0.250 (multiplicity 4)
H  0.020  0.161  0.937 (multiplicity 8)
H  0.118  0.463  0.871 (multiplicity 8)
H  0.214  0.398  0.005 (multiplicity 8)
C  0.057  0.151  0.070 (multiplicity 8)
C  0.101  0.404  0.723 (multiplicity 8)
C  0.236  0.389  0.170 (multiplicity 8)
O  0.047  0.436  0.633 (multiplicity 8)
O  0.061  0.245  0.218 (multiplicity 8)
O  0.096  0.048  0.073 (multiplicity 8)
O  0.135  0.313  0.656 (multiplicity 8)
O  0.210  0.313  0.291 (multiplicity 8)
O  0.214  0.043  0.773 (multiplicity 8)

The 10 most intense peaks (2θ = 10–90°), by angle:
2θ = 10.69°, 8.280 Å, I 157; 2θ = 15.56°, 5.694 Å, I 708; 2θ = 16.83°, 5.269 Å, I 517; 2θ = 27.71°, 3.220 Å, I 1000; 2θ = 28.24°, 3.160 Å, I 346; 2θ = 30.40°, 2.940 Å, I 292; 2θ = 34.61°, 2.591 Å, I 248; 2θ = 42.26°, 2.138 Å, I 195; 2θ = 46.87°, 1.938 Å, I 118; 2θ = 47.96°, 1.897 Å, I 103


No. 2
The following is a calculated X-ray diffraction stick pattern of CuSb2BrO3. It was derived from DFT lattice parameters and positions (PBE), using CuKα.

Structural model:
Cell lengths 8.024, 13.947, 19.347 Å; angles 90.00, 90.00, 90.00 degrees
Space group Cmc2_1 (No. 36)
Inequivalent atoms, fractional coordinates:
Cu  0.000  0.244  0.000 (multiplicity 4)
Cu  0.000  0.256  0.425 (multiplicity 4)
Cu  0.229  0.497  0.432 (multiplicity 8)
Sb  0.000  0.068  0.633 (multiplicity 4)
Sb  0.000  0.082  0.289 (multiplicity 4)
Sb  0.000  0.420  0.137 (multiplicity 4)
Sb  0.000  0.429  0.793 (multiplicity 4)
Sb  0.229  0.157  0.134 (multiplicity 8)
Sb  0.230  0.342  0.292 (multiplicity 8)
Br  0.000  0.088  0.937 (multiplicity 4)
Br  0.000  0.412  0.488 (multiplicity 4)
Br  0.250  0.166  0.463 (multiplicity 8)
O  0.000  0.044  0.737 (multiplicity 4)
O  0.000  0.205  0.105 (multiplicity 4)
O  0.000  0.296  0.321 (multiplicity 4)
O  0.000  0.456  0.691 (multiplicity 4)
O  0.185  0.478  0.321 (multiplicity 8)
O  0.187  0.023  0.110 (multiplicity 8)
O  0.187  0.355  0.191 (multiplicity 8)
O  0.188  0.147  0.236 (multiplicity 8)

The 10 most intense peaks (2θ = 10–90°), by angle:
2θ = 27.23°, 3.275 Å, I 154; 2θ = 27.66°, 3.224 Å, I 289; 2θ = 29.16°, 3.063 Å, I 1000; 2θ = 38.04°, 2.365 Å, I 94; 2θ = 45.08°, 2.011 Å, I 214; 2θ = 45.20°, 2.006 Å, I 108; 2θ = 49.86°, 1.829 Å, I 199; 2θ = 53.71°, 1.706 Å, I 156; 2θ = 53.82°, 1.703 Å, I 79; 2θ = 54.67°, 1.679 Å, I 105


No. 3
The following is a calculated X-ray diffraction stick pattern of GdCu5Se4. It was derived from DFT lattice parameters and positions (PBE), using CuKα.

Structural model:
Cell lengths 14.853, 4.051, 6.917 Å; angles 90.00, 116.59, 90.00 degrees
Space group C2/m (No. 12)
Inequivalent atoms, fractional coordinates:
Gd  0.000  0.000  0.000 (multiplicity 2)
Cu  0.000  0.500  0.500 (multiplicity 2)
Cu  0.189  0.000  0.856 (multiplicity 4)
Cu  0.190  0.500  0.357 (multiplicity 4)
Se  0.119  0.000  0.462 (multiplicity 4)
Se  0.125  0.500  0.949 (multiplicity 4)

The 10 most intense peaks (2θ = 10–90°), by angle:
2θ = 28.74°, 3.106 Å, I 219; 2θ = 28.87°, 3.093 Å, I 460; 2θ = 28.99°, 3.080 Å, I 897; 2θ = 37.16°, 2.420 Å, I 545; 2θ = 37.55°, 2.395 Å, I 1000; 2θ = 44.74°, 2.025 Å, I 512; 2θ = 45.26°, 2.003 Å, I 949; 2θ = 48.45°, 1.879 Å, I 432; 2θ = 49.33°, 1.847 Å, I 200; 2θ = 59.52°, 1.553 Å, I 247